Record 1
For HoTmCd2Cu4, a cell relaxed with GGA-PBE gives the theoretical XRD peak list in this record (Cu Kα (weighted mean of Kα1 and Kα2)).
Lines closer than 0.1° are merged.

Atomic structure:
abc: 4.6537 4.6537 6.5779
angles: 90.00 90.00 90.00
Space group P4/mmm (No. 123)
Inequivalent atoms, fractional coordinates:
Ho: 0.0000 0.0000 0.0000 [1 per cell]
Tm: 0.5000 0.5000 0.5000 [1 per cell]
Cd: 0.0000 0.0000 0.5000 [1 per cell]
Cd: 0.5000 0.5000 0.0000 [1 per cell]
Cu: 0.0000 0.5000 0.2508 [4 per cell]

Peak list (6 most intense, 10° ≤ 2θ ≤ 80°, low angle first)
Position (°2θ)	d [Å]	I/Imax	index
27.1	3.290	15	1 1 0
38.7	2.326	100	2 0 0
47.9	1.900	4	2 0 2
55.9	1.645	17	2 2 0
63.2	1.471	6	3 1 0
70.1	1.343	33	3 1 2


Record 2
For Ta4GeAsC2, a cell relaxed with GGA-PBE gives the theoretical XRD peak list in this record (Cu Kα (weighted mean of Kα1 and Kα2)).
Lines closer than 0.1° are merged.

Atomic structure:
abc: 3.3037 3.3037 12.1605
angles: 90.00 90.00 120.00
Space group P-6m2 (No. 187)
Inequivalent atoms, fractional coordinates:
Ta: 0.0000 0.0000 0.1538 [2 per cell]
Ta: 0.3333 0.6667 0.3410 [2 per cell]
Ge: 0.0000 0.0000 0.5000 [1 per cell]
As: 0.3333 0.6667 0.0000 [1 per cell]
C: 0.6667 0.3333 0.2480 [2 per cell]

Peak list (6 most intense, 10° ≤ 2θ ≤ 80°, low angle first)
Position (°2θ)	d [Å]	I/Imax	index
31.3	2.861	27	1 0 0
32.1	2.785	13	1 0 1
38.5	2.337	100	1 0 3
55.6	1.652	36	1 1 0
69.7	1.349	18	2 0 3
74.0	1.280	17	1 1 6